LiNbCoO4: calculated PXRD pattern (λ = 1.5418 Å (Cu Kα)), based on a DFT-relaxed cell (GGA+U, Alexandria).
Neutral-atom scattering factors, no anomalous dispersion.

Structure:
```
data_LiNbCoO4
_symmetry_space_group_name_H-M 'P n n a'
_symmetry_Int_Tables_number 52
_cell_length_a 6.054
_cell_length_b 6.272
_cell_length_c 8.701
_cell_angle_alpha 90.00
_cell_angle_beta 90.00
_cell_angle_gamma 90.00
loop_
_symmetry_equiv_pos_as_xyz
'x,y,z'
'-x,-y,-z'
'-x+1/2,-y,z'
'x+1/2,y,-z'
'x,-y+1/2,-z+1/2'
'-x,y+1/2,z+1/2'
'-x+1/2,y+1/2,-z+1/2'
'x+1/2,-y+1/2,z+1/2'
loop_
_atom_site_label
_atom_site_type_symbol
_atom_site_fract_x
_atom_site_fract_y
_atom_site_fract_z
_atom_site_occupancy
Li1 Li 0.250 0.000 0.104 1
Nb1 Nb 0.208 0.250 0.750 1
Co1 Co 0.000 0.000 0.500 1
O1 O 0.023 0.001 0.755 1
O2 O 0.236 0.728 0.974 1
```

Peak list (8 most intense, 2θ = 10–90°, in order of rising 2θ)
d 5.088, I = 40; d 4.969, I = 100; d 2.652, I = 36; d 2.616, I = 14; d 2.601, I = 14; d 2.544, I = 16; d 2.177, I = 68; d 1.539, I = 27


Li4NbCo3O8: calculated PXRD pattern (λ = 1.5418 Å (Cu Kα)), based on a DFT-relaxed cell (GGA+U, Alexandria).
Neutral-atom scattering factors, no anomalous dispersion.

Structure:
```
data_Li4NbCo3O8
_symmetry_space_group_name_H-M 'C 1 2/c 1'
_symmetry_Int_Tables_number 15
_cell_length_a 10.439
_cell_length_b 5.989
_cell_length_c 10.446
_cell_angle_alpha 90.00
_cell_angle_beta 109.56
_cell_angle_gamma 90.00
loop_
_symmetry_equiv_pos_as_xyz
'x,y,z'
'-x,-y,-z'
'-x,y,-z+1/2'
'x,-y,z+1/2'
'x+1/2,y+1/2,z'
'-x+1/2,-y+1/2,-z'
'-x+1/2,y+1/2,-z+1/2'
'x+1/2,-y+1/2,z+1/2'
loop_
_atom_site_label
_atom_site_type_symbol
_atom_site_fract_x
_atom_site_fract_y
_atom_site_fract_z
_atom_site_occupancy
Li1 Li 0.000 0.246 0.250 1
Li2 Li 0.000 0.251 0.750 1
Li3 Li 0.246 0.494 0.746 1
Nb1 Nb 0.250 0.250 0.000 1
Co1 Co 0.000 0.000 0.000 1
Co2 Co 0.000 0.500 0.000 1
Co3 Co 0.250 0.250 0.500 1
O1 O 0.113 0.267 0.606 1
O2 O 0.129 0.487 0.880 1
O3 O 0.130 0.011 0.880 1
O4 O 0.132 0.253 0.121 1
```

Peak list (8 most intense, 2θ = 10–90°, in order of rising 2θ)
d 4.921, I = 100; d 2.570, I = 17; d 2.558, I = 31; d 2.460, I = 12; d 2.451, I = 12; d 2.133, I = 24; d 2.123, I = 47; d 1.505, I = 33


Li2NbCo3O8: calculated PXRD pattern (λ = 1.5418 Å (Cu Kα)), based on a DFT-relaxed cell (GGA+U, Alexandria).
Neutral-atom scattering factors, no anomalous dispersion.

Structure:
```
data_Li2NbCo3O8
_symmetry_space_group_name_H-M 'P 63 m c'
_symmetry_Int_Tables_number 186
_symmetry_space_group_name_Hall 'P 6c -2c'
_cell_length_a 5.7735
_cell_length_b 5.7735
_cell_length_c 9.4246
_cell_angle_alpha 90.00
_cell_angle_beta 90.00
_cell_angle_gamma 120.00
loop_
_atom_site_label
_atom_site_type_symbol
_atom_site_fract_x
_atom_site_fract_y
_atom_site_fract_z
_atom_site_occupancy
Li1 Li 0.0000 0.0000 0.0000 1
Li2 Li 0.3333 0.6667 0.4016 1
Nb1 Nb 0.3333 0.6667 0.0000 1
Co1 Co 0.1699 0.3398 0.7196 1
O1 O 0.0000 0.0000 0.3119 1
O2 O 0.0375 0.5187 0.8381 1
O3 O 0.1642 0.3284 0.1026 1
O4 O 0.3333 0.6667 0.6162 1
```

Peak list (8 most intense, 2θ = 10–90°, in order of rising 2θ)
d 4.417, I = 100; d 3.429, I = 31; d 2.660, I = 43; d 2.462, I = 55; d 2.416, I = 44; d 1.956, I = 37; d 1.505, I = 37; d 1.443, I = 31


Li5Nb2Co3O10: calculated PXRD pattern (λ = 1.5418 Å (Cu Kα)), based on a DFT-relaxed cell (GGA+U, Alexandria).
Neutral-atom scattering factors, no anomalous dispersion.

Structure:
```
data_Li5Nb2Co3O10
_symmetry_space_group_name_H-M 'P -1'
_symmetry_Int_Tables_number 2
_cell_length_a 5.196
_cell_length_b 5.319
_cell_length_c 7.880
_cell_angle_alpha 102.28
_cell_angle_beta 108.76
_cell_angle_gamma 100.37
loop_
_symmetry_equiv_pos_as_xyz
'x,y,z'
'-x,-y,-z'
loop_
_atom_site_label
_atom_site_type_symbol
_atom_site_fract_x
_atom_site_fract_y
_atom_site_fract_z
_atom_site_occupancy
Li1 Li 0.000 0.000 0.000 1
Li2 Li 0.174 0.506 0.900 1
Li3 Li 0.374 0.480 0.295 1
Nb1 Nb 0.400 0.018 0.790 1
Co1 Co 0.000 0.500 0.500 1
Co2 Co 0.186 0.003 0.411 1
O1 O 0.022 0.758 0.747 1
O2 O 0.212 0.268 0.664 1
O3 O 0.222 0.760 0.158 1
O4 O 0.404 0.214 0.044 1
O5 O 0.407 0.757 0.563 1
```

Peak list (8 most intense, 2θ = 10–90°, in order of rising 2θ)
d 7.139, I = 42; d 5.006, I = 100; d 4.879, I = 54; d 3.411, I = 25; d 2.149, I = 52; d 2.129, I = 56; d 2.121, I = 53; d 1.492, I = 26


Li4NbCo3O8: calculated PXRD pattern (λ = 1.5418 Å (Cu Kα)), based on a DFT-relaxed cell (GGA+U, Alexandria).
Neutral-atom scattering factors, no anomalous dispersion.

Structure:
```
data_Li4NbCo3O8
_symmetry_space_group_name_H-M 'P 1'
_symmetry_Int_Tables_number 1
_cell_length_a 5.117
_cell_length_b 5.667
_cell_length_c 6.540
_cell_angle_alpha 90.11
_cell_angle_beta 90.47
_cell_angle_gamma 90.14
loop_
_symmetry_equiv_pos_as_xyz
'x,y,z'
loop_
_atom_site_label
_atom_site_type_symbol
_atom_site_fract_x
_atom_site_fract_y
_atom_site_fract_z
_atom_site_occupancy
Li1 Li 0.000 0.000 0.000 1
Li2 Li 0.000 0.465 0.738 1
Li3 Li 0.493 0.814 0.234 1
Li4 Li 0.494 0.332 0.476 1
Nb1 Nb 0.487 0.824 0.735 1
Co1 Co 0.001 0.000 0.464 1
Co2 Co 0.001 0.494 0.240 1
Co3 Co 0.491 0.333 0.004 1
O1 O 0.105 0.811 0.233 1
O2 O 0.109 0.324 0.475 1
O3 O 0.111 0.331 0.003 1
O4 O 0.118 0.829 0.731 1
O5 O 0.601 0.508 0.742 1
O6 O 0.601 0.989 0.970 1
O7 O 0.606 0.982 0.500 1
O8 O 0.630 0.493 0.240 1
```

Peak list (8 most intense, 2θ = 10–90°, in order of rising 2θ)
d 4.282, I = 100; d 4.046, I = 60; d 4.014, I = 57; d 2.833, I = 89; d 2.558, I = 54; d 2.484, I = 47; d 2.475, I = 28; d 1.635, I = 55


Li4NbCo5O12: calculated PXRD pattern (λ = 1.5418 Å (Cu Kα)), based on a DFT-relaxed cell (GGA+U, Alexandria).
Neutral-atom scattering factors, no anomalous dispersion.

Structure:
```
data_Li4NbCo5O12
_symmetry_space_group_name_H-M 'C 1 2/m 1'
_symmetry_Int_Tables_number 12
_cell_length_a 5.109
_cell_length_b 8.543
_cell_length_c 10.267
_cell_angle_alpha 90.00
_cell_angle_beta 104.34
_cell_angle_gamma 90.00
loop_
_symmetry_equiv_pos_as_xyz
'x,y,z'
'-x,-y,-z'
'-x,y,-z'
'x,-y,z'
'x+1/2,y+1/2,z'
'-x+1/2,-y+1/2,-z'
'-x+1/2,y+1/2,-z'
'x+1/2,-y+1/2,z'
loop_
_atom_site_label
_atom_site_type_symbol
_atom_site_fract_x
_atom_site_fract_y
_atom_site_fract_z
_atom_site_occupancy
Li1 Li 0.213 0.169 0.276 1
Nb1 Nb 0.000 0.500 0.000 1
Co1 Co 0.000 0.165 0.500 1
Co2 Co 0.000 0.166 0.000 1
Co3 Co 0.000 0.500 0.500 1
O1 O 0.088 0.329 0.393 1
O2 O 0.125 0.000 0.400 1
O3 O 0.211 0.000 0.107 1
O4 O 0.226 0.326 0.106 1
```

Peak list (8 most intense, 2θ = 10–90°, in order of rising 2θ)
d 4.974, I = 100; d 2.471, I = 36; d 2.329, I = 19; d 2.109, I = 20; d 2.024, I = 18; d 1.871, I = 18; d 1.653, I = 11; d 1.457, I = 10


Repeat the first record exactly.
LiNbCoO4: calculated PXRD pattern (λ = 1.5418 Å (Cu Kα)), based on a DFT-relaxed cell (GGA+U, Alexandria).
Neutral-atom scattering factors, no anomalous dispersion.

Structure:
```
data_LiNbCoO4
_symmetry_space_group_name_H-M 'P n n a'
_symmetry_Int_Tables_number 52
_cell_length_a 6.054
_cell_length_b 6.272
_cell_length_c 8.701
_cell_angle_alpha 90.00
_cell_angle_beta 90.00
_cell_angle_gamma 90.00
loop_
_symmetry_equiv_pos_as_xyz
'x,y,z'
'-x,-y,-z'
'-x+1/2,-y,z'
'x+1/2,y,-z'
'x,-y+1/2,-z+1/2'
'-x,y+1/2,z+1/2'
'-x+1/2,y+1/2,-z+1/2'
'x+1/2,-y+1/2,z+1/2'
loop_
_atom_site_label
_atom_site_type_symbol
_atom_site_fract_x
_atom_site_fract_y
_atom_site_fract_z
_atom_site_occupancy
Li1 Li 0.250 0.000 0.104 1
Nb1 Nb 0.208 0.250 0.750 1
Co1 Co 0.000 0.000 0.500 1
O1 O 0.023 0.001 0.755 1
O2 O 0.236 0.728 0.974 1
```

Peak list (8 most intense, 2θ = 10–90°, in order of rising 2θ)
d 5.088, I = 40; d 4.969, I = 100; d 2.652, I = 36; d 2.616, I = 14; d 2.601, I = 14; d 2.544, I = 16; d 2.177, I = 68; d 1.539, I = 27